Cu6OF11: simulated powder diffractogram (a wavelength of 1.5418 Å), based on a cell relaxed with PBE.
Kinematic intensities with the Lorentz-polarization factor, no thermal factor.

Largest 12 diffraction maxima, by angle, 5 to 70 degrees two-theta:
- 27.0 deg, I = 100.0
- 27.8 deg, I = 93.6
- 31.8 deg, I = 55.0
- 33.6 deg, I = 38.4
- 33.9 deg, I = 33.3
- 35.5 deg, I = 23.6
- 49.3 deg, I = 20.9
- 50.5 deg, I = 19.5
- 53.8 deg, I = 18.0
- 54.3 deg, I = 17.5
- 55.7 deg, I = 20.6
- 56.6 deg, I = 22.4

Crystal structure
```
data_Cu6OF11
_cell_length_a 3.276
_cell_length_b 6.430
_cell_length_c 10.396
_cell_angle_alpha 107.12
_cell_angle_beta 93.57
_cell_angle_gamma 94.23
_space_group_name_H-M_alt 'P 1'
_space_group_IT_number 1
loop_
_space_group_symop_operation_xyz
'x,y,z'
loop_
_atom_site_label
_atom_site_type_symbol
_atom_site_fract_x
_atom_site_fract_y
_atom_site_fract_z
_atom_site_occupancy
Cu1 Cu 0.000 0.000 0.000 1
Cu2 Cu 0.000 0.333 0.666 1
Cu3 Cu 0.498 0.500 0.999 1
Cu4 Cu 0.500 0.833 0.666 1
Cu5 Cu 0.521 0.137 0.333 1
Cu6 Cu 0.998 0.680 0.333 1
O1 O 0.026 0.966 0.332 1
F1 F 0.024 0.632 0.666 1
F2 F 0.027 0.299 0.999 1
F3 F 0.444 0.739 0.469 1
F4 F 0.465 0.067 0.136 1
F5 F 0.469 0.401 0.802 1
F6 F 0.531 0.931 0.863 1
F7 F 0.537 0.262 0.529 1
F8 F 0.553 0.601 0.196 1
F9 F 0.955 0.379 0.334 1
F10 F 0.974 0.700 0.999 1
F11 F 0.975 0.034 0.667 1
```

***

Cu3OF5: simulated powder diffractogram (a wavelength of 1.5418 Å), based on a cell relaxed with PBE.
Kinematic intensities with the Lorentz-polarization factor, no thermal factor.

Largest 12 diffraction maxima, by angle, 5 to 70 degrees two-theta:
- 26.6 deg, I = 100.0
- 28.3 deg, I = 87.0
- 32.4 deg, I = 50.0
- 33.9 deg, I = 37.3
- 34.7 deg, I = 29.0
- 35.9 deg, I = 21.7
- 39.1 deg, I = 18.1
- 49.2 deg, I = 19.6
- 53.9 deg, I = 17.3
- 54.6 deg, I = 30.5
- 54.8 deg, I = 20.9
- 57.8 deg, I = 18.9

Crystal structure
```
data_Cu3OF5
_cell_length_a 4.595
_cell_length_b 5.914
_cell_length_c 7.513
_cell_angle_alpha 90.76
_cell_angle_beta 90.71
_cell_angle_gamma 93.74
_space_group_name_H-M_alt 'P 1'
_space_group_IT_number 1
loop_
_space_group_symop_operation_xyz
'x,y,z'
loop_
_atom_site_label
_atom_site_type_symbol
_atom_site_fract_x
_atom_site_fract_y
_atom_site_fract_z
_atom_site_occupancy
Cu1 Cu 0.000 0.000 0.000 1
Cu2 Cu 0.002 0.356 0.648 1
Cu3 Cu 0.508 0.860 0.654 1
Cu4 Cu 0.526 0.533 0.992 1
Cu5 Cu 0.531 0.201 0.331 1
Cu6 Cu 0.983 0.667 0.316 1
O1 O 0.814 0.720 0.096 1
O2 O 0.817 0.392 0.430 1
F1 F 0.209 0.673 0.543 1
F2 F 0.216 0.338 0.879 1
F3 F 0.227 0.004 0.225 1
F4 F 0.305 0.845 0.874 1
F5 F 0.313 0.180 0.546 1
F6 F 0.318 0.511 0.206 1
F7 F 0.714 0.877 0.437 1
F8 F 0.718 0.541 0.768 1
F9 F 0.722 0.207 0.106 1
F10 F 0.811 0.045 0.767 1
```

***

Cu3OF5: simulated powder diffractogram (a wavelength of 1.5418 Å), based on a cell relaxed with PBE.
Kinematic intensities with the Lorentz-polarization factor, no thermal factor.

Largest 12 diffraction maxima, by angle, 5 to 70 degrees two-theta:
- 26.4 deg, I = 100.0
- 28.2 deg, I = 85.8
- 32.5 deg, I = 53.3
- 33.5 deg, I = 35.8
- 34.5 deg, I = 31.2
- 35.6 deg, I = 20.5
- 39.1 deg, I = 17.3
- 49.2 deg, I = 20.4
- 52.0 deg, I = 17.9
- 53.4 deg, I = 18.2
- 54.5 deg, I = 21.5
- 57.4 deg, I = 18.9

Crystal structure
```
data_Cu3OF5
_cell_length_a 5.385
_cell_length_b 5.741
_cell_length_c 7.233
_cell_angle_alpha 78.61
_cell_angle_beta 74.91
_cell_angle_gamma 74.86
_space_group_name_H-M_alt 'P -1'
_space_group_IT_number 2
loop_
_space_group_symop_operation_xyz
'x,y,z'
'-x,-y,-z'
loop_
_atom_site_label
_atom_site_type_symbol
_atom_site_fract_x
_atom_site_fract_y
_atom_site_fract_z
_atom_site_occupancy
Cu1 Cu 0.000 0.000 0.000 1
Cu2 Cu 0.000 0.000 0.500 1
Cu3 Cu 0.312 0.309 0.161 1
Cu4 Cu 0.340 0.343 0.670 1
O1 O 0.092 0.092 0.205 1
F1 F 0.015 0.598 0.176 1
F2 F 0.228 0.224 0.488 1
F3 F 0.310 0.719 0.484 1
F4 F 0.366 0.957 0.857 1
F5 F 0.460 0.464 0.849 1
```